# Ca3MnNiO6
Simulated powder X-ray diffraction pattern, Cu Kα (weighted mean of Kα1 and Kα2). Input: DFT lattice parameters and positions (PBE+U).
Intensities are scaled so that the largest is 100.

Main lines, by intensity (10° ≤ 2θ ≤ 90°):
hkl  2θ (°)  Rel. int.
3 0 0  33.68  100
1 1 0  19.26  60
2 1 4  45.44  51
2 2 3  47.01  47
1 1 3  31.82  40
0 2 4  40.74  29
3 2 4  61.45  26
3 3 0  60.24  18

Lattice parameters (Å, degrees): 9.2185 9.2185 10.6475 90.00 90.00 120.00
Space group R-3c (No. 167, hexagonal axes)
Unique sites:
1 Ca 0.0000 0.3609 0.2500 x18
2 Mn 0.0000 0.0000 0.0000 x6
3 Ni 0.0000 0.0000 0.2500 x6
4 O 0.0304 0.1806 0.3911 x36